For Sr2ZnHg, a DFT-relaxed cell (PBE, Alexandria) gives the calculated X-ray diffraction stick pattern in this record (Cu Kα (weighted mean of Kα1 and Kα2)).
No peak broadening, texture or thermal motion is included.

Cell: 8.213 4.710 8.014 Å, 90.00 109.61 90.00°
Element x y z (fractional)
Sr (0.248, 0.000, 0.243)
Sr (0.252, 0.500, 0.757)
Sr (0.748, 0.500, 0.243)
Sr (0.752, 0.000, 0.757)
Zn (0.000, 0.500, 0.000)
Zn (0.500, 0.000, 0.000)
Hg (0.000, 0.000, 0.500)
Hg (0.500, 0.500, 0.500)

Principal peaks in the range 10 to 90 degrees two-theta, by intensity:
2θ 26.88, 3.317 Å, I 1000
2θ 38.02, 2.367 Å, I 269
2θ 38.76, 2.323 Å, I 253
2θ 11.72, 7.549 Å, I 147
2θ 47.35, 1.920 Å, I 143
2θ 55.40, 1.658 Å, I 133
2θ 22.07, 4.027 Å, I 133
2θ 38.22, 2.355 Å, I 132
2θ 38.51, 2.338 Å, I 129
2θ 62.12, 1.494 Å, I 126